Structure and computed powder XRD pattern of CaRuCl4 (a crystal structure in Alexandria, relaxed with PBE; Cu Ka).
Intensities are scaled so that the largest is 100.

Crystal structure
```
data_CaRuCl4
_space_group_name_H-M_alt 'P 1'
_space_group_IT_number 1
_space_group_name_Hall 'P 1'
_cell_length_a 5.891
_cell_length_b 5.891
_cell_length_c 5.891
_cell_angle_alpha 60.00
_cell_angle_beta 60.00
_cell_angle_gamma 60.00
loop_
_atom_site_label
_atom_site_fract_x
_atom_site_fract_y
_atom_site_fract_z
Ca1 0.000 0.000 0.000
Ru1 0.250 0.250 0.250
Cl1 0.126 0.625 0.625
Cl2 0.625 0.126 0.625
Cl3 0.625 0.625 0.126
Cl4 0.625 0.625 0.625
```

Largest 10 diffraction maxima, in order of falling intensity, 2θ = 10–80°:
2θ 35.74, I = 100; 2θ 30.34, I = 52; 2θ 57.48, I = 30; 2θ 37.39, I = 22; 2θ 63.13, I = 21; 2θ 53.91, I = 19; 2θ 18.44, I = 14; 2θ 21.33, I = 10; 2θ 74.71, I = 10; 2θ 71.64, I = 8